Calculated PXRD pattern
Compound: CsCe3I9
Radiation: CuKα
Structure: a crystal structure in Alexandria, relaxed with GGA-PBE
Lines closer than 0.1° are merged.

Crystal structure
Cell: 12.0255 12.0255 6.3208 Å, 90.00 90.00 120.00°
Space group P6/mmm (No. 191)
Unique sites:
Cs  0.0000  0.0000  0.0000
Ce  0.0000  0.5000  0.5000
I  0.0000  0.5000  0.0000
I  0.1967  0.3934  0.5000

Principal peaks in the range 2θ from 5° to 70°, by angle:
Position (°2θ)	I (rel.)
8.49	25
14.01	46
14.73	27
17.03	70
20.39	27
22.12	40
28.24	56
29.35	23
29.72	100
33.16	27
34.45	23
41.45	80